Entry 1:
Structure and computed powder diffraction line list of Li2Mg2In2AgPt (the PBE geometry in OQMD; Cu Kα, 1.54184 Å).
Lines closer than 0.1° are merged.

Main lines, by intensity (2θ = 10–80°):
index	two_theta	d/Å	I_rel
1 0 1	23.42	3.799	100
1 1 2	38.62	2.331	82
2 0 0	38.87	2.317	40
2 1 1	45.88	1.978	33
3 1 2	70.22	1.340	27
1 0 3	45.44	1.996	17
2 1 3	61.30	1.512	14
2 0 4	69.73	1.349	14
2 2 0	56.14	1.638	14
3 2 1	75.33	1.262	8

Crystal structure
```
data_Li2Mg2In2AgPt
_chemical_formula_sum 'Li2 Mg2 In2 Ag1 Pt1'
_cell_length_a 4.6337
_cell_length_b 4.6337
_cell_length_c 6.6347
_cell_angle_alpha 90.00
_cell_angle_beta 90.00
_cell_angle_gamma 90.00
_space_group_name_H-M_alt 'P -4 m 2'
_space_group_IT_number 115
_space_group_name_Hall 'P -4 -2'
loop_
_atom_site_label
_atom_site_type_symbol
_atom_site_fract_x
_atom_site_fract_y
_atom_site_fract_z
Li1 Li 0.0000 0.0000 0.0000
Li2 Li 0.5000 0.5000 0.5000
Mg1 Mg 0.0000 0.5000 0.2347
In1 In 0.0000 0.5000 0.7583
Ag1 Ag 0.0000 0.0000 0.5000
Pt1 Pt 0.5000 0.5000 0.0000
```


Entry 2:
Structure and computed powder diffraction line list of Li2PrYIn2Ag2 (the PBE geometry in OQMD; Cu Kα, 1.54184 Å).
Lines closer than 0.1° are merged.

Main lines, by intensity (2θ = 10–80°):
index	two_theta	d/Å	I_rel
2 0 0	36.35	2.472	100
3 1 2	65.40	1.427	34
1 0 1	22.02	4.036	23
2 2 0	52.35	1.748	17
0 0 2	25.48	3.495	14
2 1 1	42.91	2.108	11
4 0 0	77.19	1.236	10
1 1 4	59.10	1.563	5
3 0 1	57.46	1.604	5
2 0 2	44.92	2.018	4

Crystal structure
```
data_Li2PrYIn2Ag2
_chemical_formula_sum 'Li2 Pr1 Y1 In2 Ag2'
_cell_length_a 4.9450
_cell_length_b 4.9450
_cell_length_c 6.9859
_cell_angle_alpha 90.00
_cell_angle_beta 90.00
_cell_angle_gamma 90.00
_space_group_name_H-M_alt 'P -4 m 2'
_space_group_IT_number 115
_space_group_name_Hall 'P -4 -2'
loop_
_atom_site_label
_atom_site_type_symbol
_atom_site_fract_x
_atom_site_fract_y
_atom_site_fract_z
Li1 Li 0.0000 0.5000 0.2456
Pr1 Pr 0.0000 0.0000 0.5000
Y1 Y 0.5000 0.5000 0.0000
In1 In 0.0000 0.0000 0.0000
In2 In 0.5000 0.5000 0.5000
Ag1 Ag 0.0000 0.5000 0.7607
```